Record 1
# Cs3Rb4Au
Computed X-ray powder pattern, Cu Kα (weighted mean of Kα1 and Kα2). Input: DFT lattice parameters and positions (PBE).
Kinematic intensities with the Lorentz-polarization factor, no thermal factor.

Cell and atoms:
Cell: 14.027 13.582 7.131 Å, 90.00 90.00 90.00°
Space group Pmn2_1 (No. 31)
Unique sites:
Cs: 0.000 0.104 0.000 (multiplicity 2)
Cs: 0.161 0.573 0.499 (multiplicity 4)
Rb: 0.000 0.423 0.999 (multiplicity 2)
Rb: 0.000 0.881 0.500 (multiplicity 2)
Rb: 0.211 0.203 0.500 (multiplicity 4)
Au: 0.000 0.359 0.499 (multiplicity 2)

Top 10 peaks for 10° ≤ 2θ ≤ 90°, sorted by position:
13.93 deg, I = 33; 15.39 deg, I = 34; 22.08 deg, I = 100; 23.09 deg, I = 43; 23.27 deg, I = 52; 24.97 deg, I = 63; 27.42 deg, I = 35; 31.33 deg, I = 27; 34.29 deg, I = 37; 37.42 deg, I = 31



Record 2
# Tm2Mg3Sc3
Computed X-ray powder pattern, Cu Kα (weighted mean of Kα1 and Kα2). Input: DFT lattice parameters and positions (PBE).
Kinematic intensities with the Lorentz-polarization factor, no thermal factor.

Cell and atoms:
Cell: 5.2059 5.2059 25.6980 Å, 90.00 90.00 120.00°
Space group R3m (No. 160, hexagonal axes)
Unique sites:
Tm: 0.0000 0.0000 0.0000 (multiplicity 3)
Tm: 0.0000 0.0000 0.4988 (multiplicity 3)
Mg: 0.0000 0.0000 0.1271 (multiplicity 3)
Mg: 0.0000 0.0000 0.3749 (multiplicity 3)
Mg: 0.0000 0.0000 0.6225 (multiplicity 3)
Sc: 0.0000 0.0000 0.2525 (multiplicity 3)
Sc: 0.0000 0.0000 0.7483 (multiplicity 3)
Sc: 0.0000 0.0000 0.8745 (multiplicity 3)

Top 10 peaks for 10° ≤ 2θ ≤ 90°, sorted by position:
20.74 deg, I = 23; 20.88 deg, I = 68; 24.12 deg, I = 75; 34.28 deg, I = 100; 34.46 deg, I = 99; 40.58 deg, I = 39; 49.39 deg, I = 35; 61.27 deg, I = 18; 61.61 deg, I = 35; 61.73 deg, I = 18



Record 3
# Sn4PS6
Computed X-ray powder pattern, Cu Kα (weighted mean of Kα1 and Kα2). Input: DFT lattice parameters and positions (PBE).
Kinematic intensities with the Lorentz-polarization factor, no thermal factor.

Cell and atoms:
Cell: 16.676 6.495 12.379 Å, 90.00 121.12 90.00°
Space group Cc (No. 9)
Unique sites:
Sn: 0.000 0.062 0.000 (multiplicity 4)
Sn: 0.058 0.407 0.337 (multiplicity 4)
Sn: 0.192 0.163 0.784 (multiplicity 4)
Sn: 0.327 0.300 0.181 (multiplicity 4)
P: 0.254 0.179 0.555 (multiplicity 4)
S: 0.032 0.180 0.819 (multiplicity 4)
S: 0.059 0.318 0.547 (multiplicity 4)
S: 0.159 0.193 0.181 (multiplicity 4)
S: 0.251 0.470 0.469 (multiplicity 4)
S: 0.339 0.241 0.750 (multiplicity 4)
S: 0.342 0.011 0.022 (multiplicity 4)

Top 10 peaks for 10° ≤ 2θ ≤ 90°, sorted by position:
21.07 deg, I = 46; 21.67 deg, I = 31; 22.22 deg, I = 100; 24.93 deg, I = 30; 25.60 deg, I = 55; 26.48 deg, I = 39; 28.75 deg, I = 63; 32.32 deg, I = 65; 34.02 deg, I = 47; 35.35 deg, I = 42



Record 4
# HfSc2TaCo
Computed X-ray powder pattern, Cu Kα (weighted mean of Kα1 and Kα2). Input: DFT lattice parameters and positions (PBE).
Kinematic intensities with the Lorentz-polarization factor, no thermal factor.

Cell and atoms:
Cell: 5.023 5.023 4.353 Å, 90.00 90.00 90.00°
Space group P4/mmm (No. 123)
Unique sites:
Hf: 0.000 0.000 0.000 (multiplicity 1)
Sc: 0.000 0.500 0.000 (multiplicity 2)
Ta: 0.500 0.500 0.500 (multiplicity 1)
Co: 0.000 0.000 0.500 (multiplicity 1)

Top 10 peaks for 10° ≤ 2θ ≤ 90°, sorted by position:
25.07 deg, I = 76; 27.11 deg, I = 100; 32.54 deg, I = 18; 35.75 deg, I = 74; 41.49 deg, I = 24; 45.44 deg, I = 52; 49.09 deg, I = 26; 51.46 deg, I = 26; 55.90 deg, I = 40; 68.15 deg, I = 22



Record 5
# Ca2Be3SiPt4
Computed X-ray powder pattern, Cu Kα (weighted mean of Kα1 and Kα2). Input: DFT lattice parameters and positions (PBE).
Kinematic intensities with the Lorentz-polarization factor, no thermal factor.

Cell and atoms:
Cell: 4.078 4.078 9.660 Å, 90.00 90.00 90.00°
Space group P-4m2 (No. 115)
Unique sites:
Ca: 0.000 0.500 0.245 (multiplicity 2)
Be: 0.000 0.500 0.880 (multiplicity 2)
Be: 0.500 0.500 0.500 (multiplicity 1)
Si: 0.000 0.000 0.500 (multiplicity 1)
Pt: 0.000 0.000 0.000 (multiplicity 1)
Pt: 0.000 0.500 0.631 (multiplicity 2)
Pt: 0.500 0.500 0.000 (multiplicity 1)

Top 10 peaks for 10° ≤ 2θ ≤ 90°, sorted by position:
18.37 deg, I = 26; 23.68 deg, I = 26; 27.71 deg, I = 41; 28.65 deg, I = 54; 32.40 deg, I = 100; 36.28 deg, I = 58; 44.43 deg, I = 47; 49.21 deg, I = 47; 53.17 deg, I = 28; 76.49 deg, I = 25



Record 6
# Rb4NpU3O12
Computed X-ray powder pattern, Cu Kα (weighted mean of Kα1 and Kα2). Input: DFT lattice parameters and positions (PBE).
Kinematic intensities with the Lorentz-polarization factor, no thermal factor.

Cell and atoms:
Cell: 8.710 8.710 8.710 Å, 90.00 90.00 90.00°
Space group Im-3m (No. 229)
Unique sites:
Rb: 0.250 0.250 0.250 (multiplicity 8)
Np: 0.000 0.000 0.000 (multiplicity 2)
U: 0.000 0.000 0.500 (multiplicity 6)
O: 0.000 0.000 0.254 (multiplicity 12)
O: 0.000 0.250 0.500 (multiplicity 12)

Top 10 peaks for 10° ≤ 2θ ≤ 90°, sorted by position:
20.39 deg, I = 33; 28.99 deg, I = 100; 41.47 deg, I = 29; 46.63 deg, I = 16; 51.39 deg, I = 43; 60.09 deg, I = 19; 64.15 deg, I = 8; 68.08 deg, I = 19; 75.64 deg, I = 6; 82.95 deg, I = 23